Simulated powder diffractogram of Tb8Tm6Zr for Cu Kα (weighted mean of Kα1 and Kα2), from a PBE-relaxed structure.
Kinematic intensities with the Lorentz-polarization factor, no thermal factor.

Crystal structure
```
Tb8Tm6Zr
1.0
9.7033 0.0000 0.0000
-4.8517 8.4033 0.0000
0.0000 0.0000 5.7485
Tb Tm Zr
8 6 1
Cartesian
-3.2865 6.5564 1.3563
0.8169 2.2790 1.3563
2.3821 0.4320 4.3922
0.0000 5.6022 1.3608
4.8517 2.8011 4.3877
2.4696 7.9713 1.3563
4.0347 6.1243 4.3922
8.1381 1.8470 4.3922
-2.1003 5.2052 4.3012
1.3939 3.9818 4.3012
4.1453 0.7837 1.4473
0.7063 7.6196 4.3012
3.4577 4.4215 1.4473
6.9519 3.1981 1.4473
0.0000 0.0000 2.8742
```

Main lines, low angle first (2θ = 5–70°):
- 2θ = 28.09°, intensity 22
- 2θ = 31.12°, intensity 24
- 2θ = 32.20°, intensity 100
- 2θ = 42.41°, intensity 19
- 2θ = 49.72°, intensity 19
- 2θ = 56.05°, intensity 20
- 2θ = 59.83°, intensity 18
- 2θ = 60.48°, intensity 15